# NbN
Simulated PXRD pattern, Cu Ka. Input: the PBE geometry in the Materials Project.
Peak positions follow from Bragg's law for the DFT cell and can differ from measured ones.

Top 7 peaks for 5° ≤ 2θ ≤ 70°, sorted by position:
| 2theta | intensity | index |
| --- | --- | --- |
| 31.9 | 27 | 0 0 2 |
| 34.5 | 11 | 1 0 0 |
| 38.2 | 100 | 1 0 1 |
| 47.7 | 27 | 1 0 2 |
| 61.0 | 24 | 1 0 3 |
| 61.9 | 19 | 1 1 0 |
| 66.6 | 5 | 0 0 4 |

Atomic structure:
abc: 2.9989 2.9989 5.6184
angles: 90.00 90.00 120.00
Atoms (fractional coordinates):
Nb (0.3333, 0.6667, 0.2500)
Nb (0.6667, 0.3333, 0.7500)
N (0.0000, 0.0000, 0.0000)
N (0.0000, 0.0000, 0.5000)